The following is a simulated XRD peak list of Ce6Ga3Fe. It was derived from the PBE geometry in Alexandria, using λ = 1.5418 Å (Cu Kα).
Intensities are scaled so that the largest is 100.

Cell and atoms:
```
data_Ce6Ga3Fe
_symmetry_space_group_name_H-M 'R -3 m'
_symmetry_Int_Tables_number 166
_symmetry_space_group_name_Hall '-R 3 2"'
_cell_length_a 10.7874
_cell_length_b 10.7874
_cell_length_c 14.4191
_cell_angle_alpha 90.00
_cell_angle_beta 90.00
_cell_angle_gamma 120.00
loop_
_atom_site_label
_atom_site_fract_x
_atom_site_fract_y
_atom_site_fract_z
Ce1 0.1056 0.5528 0.0647
Ce2 0.1103 0.5551 0.7778
Ga1 0.0590 0.5295 0.4125
Fe1 0.0000 0.0000 0.0000
Fe2 0.0000 0.0000 0.5000
```

Main lines, in order of rising 2θ (15 to 90 degrees two-theta):
Position (°2θ)  d (Å)  intensity
26.50  3.363  10
28.67  3.114  26
34.31  2.613  100
35.19  2.550  8
35.59  2.522  16
37.42  2.403  10
47.81  1.903  11
50.78  1.798  25
57.12  1.612  7
62.73  1.481  14
64.76  1.440  8
84.81  1.143  9